Entry 1:
Diffraction record for Ta2GaB. The powder diffraction line list is calculated, not measured: it uses the GGA-PBE geometry in OQMD and Cu Kα (weighted mean of Kα1 and Kα2).
Intensities are scaled so that the largest is 100.

Atomic structure:
```
data_Ta2GaB
_cell_length_a 3.1961
_cell_length_b 3.1961
_cell_length_c 13.6454
_cell_angle_alpha 90.00
_cell_angle_beta 90.00
_cell_angle_gamma 120.00
_symmetry_space_group_name_H-M 'P 63/m m c'
_symmetry_Int_Tables_number 194
_symmetry_space_group_name_Hall '-P 6c 2c'
loop_
_atom_site_label
_atom_site_fract_x
_atom_site_fract_y
_atom_site_fract_z
_atom_site_occupancy
Ta1 0.3333 0.6667 0.0921 1
Ga1 0.3333 0.6667 0.7500 1
B1 0.0000 0.0000 0.0000 1
```

Peak list (12 most intense, 2θ = 15–90°, low angle first)
d = 3.411 Å, 26.12°, I 8, hkl 0 0 4; d = 2.768 Å, 32.34°, I 24, hkl 1 0 0; d = 2.713 Å, 33.02°, I 12, hkl 1 0 1; d = 2.364 Å, 38.06°, I 100, hkl 1 0 3; d = 2.274 Å, 39.63°, I 18, hkl 0 0 6; d = 2.149 Å, 42.04°, I 5, hkl 1 0 4; d = 1.757 Å, 52.05°, I 14, hkl 1 0 6; d = 1.598 Å, 57.69°, I 21, hkl 1 1 0; d = 1.594 Å, 57.86°, I 7, hkl 1 0 7; d = 1.330 Å, 70.87°, I 13, hkl 1 0 9; d = 1.324 Å, 71.22°, I 16, hkl 2 0 3; d = 1.308 Å, 72.26°, I 18, hkl 1 1 6

***

Entry 2:
Diffraction record for Ag3As2Cl3. The powder diffraction line list is calculated, not measured: it uses the GGA-PBE geometry in OQMD and Cu Kα (weighted mean of Kα1 and Kα2).
Intensities are scaled so that the largest is 100.

Atomic structure:
```
data_Ag3As2Cl3
_cell_length_a 4.029
_cell_length_b 4.029
_cell_length_c 13.799
_cell_angle_alpha 90.00
_cell_angle_beta 90.00
_cell_angle_gamma 90.00
_symmetry_space_group_name_H-M 'P -4 m 2'
_symmetry_Int_Tables_number 115
loop_
_symmetry_equiv_pos_as_xyz
'x,y,z'
'y,-x,-z'
'-x,-y,z'
'-y,x,-z'
'-x,y,z'
'-y,-x,-z'
'x,-y,z'
'y,x,-z'
loop_
_atom_site_label
_atom_site_fract_x
_atom_site_fract_y
_atom_site_fract_z
_atom_site_occupancy
Ag1 0.000 0.000 0.000 1
Ag2 0.000 0.000 0.500 1
Ag3 0.500 0.500 0.000 1
As1 0.000 0.500 0.872 1
Cl1 0.500 0.500 0.244 1
Cl2 0.500 0.500 0.500 1
```

Peak list (12 most intense, 2θ = 15–90°, low angle first)
d = 3.868 Å, 23.00°, I 24, hkl 1 0 1; d = 3.479 Å, 25.60°, I 47, hkl 1 0 2; d = 3.450 Å, 25.83°, I 22, hkl 0 0 4; d = 2.849 Å, 31.40°, I 26, hkl 1 1 0; d = 2.633 Å, 34.05°, I 46, hkl 1 1 2; d = 2.197 Å, 41.09°, I 100, hkl 1 1 4; d = 2.015 Å, 45.00°, I 38, hkl 2 0 0; d = 1.996 Å, 45.45°, I 17, hkl 1 0 6; d = 1.934 Å, 46.99°, I 17, hkl 2 0 2; d = 1.789 Å, 51.06°, I 18, hkl 1 1 6; d = 1.310 Å, 72.08°, I 17, hkl 2 0 8; d = 1.195 Å, 80.33°, I 26, hkl 3 1 4

***

Entry 3:
Diffraction record for KTbTe3Pt. The powder diffraction line list is calculated, not measured: it uses the GGA-PBE geometry in OQMD and Cu Kα (weighted mean of Kα1 and Kα2).
Intensities are scaled so that the largest is 100.

Atomic structure:
```
data_KTbTe3Pt
_cell_length_a 4.300
_cell_length_b 17.576
_cell_length_c 10.496
_cell_angle_alpha 90.00
_cell_angle_beta 90.00
_cell_angle_gamma 90.00
_symmetry_space_group_name_H-M 'C m c m'
_symmetry_Int_Tables_number 63
_symmetry_space_group_name_Hall '-C 2c 2'
loop_
_atom_site_label
_atom_site_fract_x
_atom_site_fract_y
_atom_site_fract_z
_atom_site_occupancy
K1 0.000 0.246 0.250 1
Tb1 0.000 0.000 0.000 1
Te1 0.000 0.092 0.750 1
Te2 0.000 0.382 0.583 1
Pt1 0.000 0.496 0.750 1
```

Peak list (12 most intense, 2θ = 15–90°, low angle first)
d = 3.292 Å, 27.09°, I 54, hkl 1 3 1; d = 3.251 Å, 27.44°, I 42, hkl 0 2 3; d = 2.893 Å, 30.91°, I 100, hkl 1 3 2; d = 2.514 Å, 35.71°, I 21, hkl 0 2 4; d = 2.416 Å, 37.22°, I 98, hkl 1 5 2; d = 2.253 Å, 40.02°, I 23, hkl 0 4 4; d = 2.197 Å, 41.08°, I 21, hkl 0 8 0; d = 2.150 Å, 42.03°, I 37, hkl 2 0 0; d = 2.004 Å, 45.25°, I 25, hkl 1 7 2; d = 1.794 Å, 50.89°, I 24, hkl 2 2 3; d = 1.555 Å, 59.46°, I 22, hkl 2 4 4; d = 1.361 Å, 68.99°, I 22, hkl 1 7 6

***

Entry 4:
Diffraction record for NbCu2Ni. The powder diffraction line list is calculated, not measured: it uses the GGA-PBE geometry in OQMD and Cu Kα (weighted mean of Kα1 and Kα2).
Intensities are scaled so that the largest is 100.

Atomic structure:
```
data_NbCu2Ni
_cell_length_a 4.319
_cell_length_b 5.282
_cell_length_c 4.564
_cell_angle_alpha 90.00
_cell_angle_beta 90.00
_cell_angle_gamma 90.00
_symmetry_space_group_name_H-M 'P m m n'
_symmetry_Int_Tables_number 59
loop_
_symmetry_equiv_pos_as_xyz
'x,y,z'
'-x,-y,-z'
'-x+1/2,-y+1/2,z'
'x+1/2,y+1/2,-z'
'x+1/2,-y,-z'
'-x+1/2,y,z'
'-x,y+1/2,-z'
'x,-y+1/2,z'
loop_
_atom_site_label
_atom_site_fract_x
_atom_site_fract_y
_atom_site_fract_z
_atom_site_occupancy
Nb1 0.250 0.250 0.137 1
Cu1 0.250 0.504 0.647 1
Ni1 0.250 0.750 0.161 1
```

Peak list (12 most intense, 2θ = 15–90°, low angle first)
d = 2.286 Å, 39.43°, I 27, hkl 0 2 1; d = 2.159 Å, 41.83°, I 28, hkl 2 0 0; d = 2.019 Å, 44.89°, I 100, hkl 1 0 2; d = 1.570 Å, 58.83°, I 16, hkl 2 2 1; d = 1.320 Å, 71.44°, I 5, hkl 0 4 0; d = 1.318 Å, 71.58°, I 9, hkl 0 2 3; d = 1.261 Å, 75.39°, I 2, hkl 1 2 3; d = 1.218 Å, 78.54°, I 17, hkl 3 0 2; d = 1.141 Å, 85.01°, I 2, hkl 0 0 4; d = 1.127 Å, 86.37°, I 6, hkl 2 4 0; d = 1.125 Å, 86.50°, I 10, hkl 2 2 3; d = 1.105 Å, 88.49°, I 11, hkl 1 4 2

***

Entry 5:
Diffraction record for Zr11Os4. The powder diffraction line list is calculated, not measured: it uses the GGA-PBE geometry in OQMD and Cu Kα (weighted mean of Kα1 and Kα2).
Intensities are scaled so that the largest is 100.

Atomic structure:
```
data_Zr11Os4
_cell_length_a 13.487
_cell_length_b 13.487
_cell_length_c 13.487
_cell_angle_alpha 90.00
_cell_angle_beta 90.00
_cell_angle_gamma 90.00
_symmetry_space_group_name_H-M 'F m -3 m'
_symmetry_Int_Tables_number 225
_symmetry_space_group_name_Hall '-F 4 2 3'
loop_
_atom_site_label
_atom_site_fract_x
_atom_site_fract_y
_atom_site_fract_z
_atom_site_occupancy
Zr1 0.000 0.000 0.201 1
Zr2 0.117 0.117 0.383 1
Zr3 0.163 0.163 0.163 1
Os1 0.000 0.000 0.000 1
Os2 0.000 0.000 0.500 1
Os3 0.000 0.250 0.250 1
```

Peak list (12 most intense, 2θ = 15–90°, low angle first)
d = 3.893 Å, 22.84°, I 29, hkl 2 2 2; d = 3.372 Å, 26.43°, I 9, hkl 4 0 0; d = 2.596 Å, 34.56°, I 30, hkl 3 3 3; d = 2.384 Å, 37.73°, I 100, hkl 4 4 0; d = 2.033 Å, 44.56°, I 32, hkl 6 2 2; d = 1.686 Å, 54.42°, I 11, hkl 8 0 0; d = 1.547 Å, 59.78°, I 9, hkl 6 6 2; d = 1.508 Å, 61.50°, I 8, hkl 8 4 0; d = 1.376 Å, 68.12°, I 19, hkl 8 4 4; d = 1.298 Å, 72.89°, I 13, hkl 6 6 6; d = 1.192 Å, 80.59°, I 6, hkl 8 8 0; d = 1.140 Å, 85.12°, I 17, hkl 10 6 2

***

Entry 6:
Diffraction record for Ta4ZnNiC2. The powder diffraction line list is calculated, not measured: it uses the GGA-PBE geometry in OQMD and Cu Kα (weighted mean of Kα1 and Kα2).
Intensities are scaled so that the largest is 100.

Atomic structure:
```
data_Ta4ZnNiC2
_cell_length_a 3.1027
_cell_length_b 3.1027
_cell_length_c 13.4174
_cell_angle_alpha 90.00
_cell_angle_beta 90.00
_cell_angle_gamma 120.00
_symmetry_space_group_name_H-M 'P -6 m 2'
_symmetry_Int_Tables_number 187
_symmetry_space_group_name_Hall 'P -6 2'
loop_
_atom_site_label
_atom_site_fract_x
_atom_site_fract_y
_atom_site_fract_z
_atom_site_occupancy
Ta1 0.0000 0.0000 0.1498 1
Ta2 0.6667 0.3333 0.3348 1
Zn1 0.0000 0.0000 0.5000 1
Ni1 0.6667 0.3333 0.0000 1
C1 0.3333 0.6667 0.2434 1
```

Peak list (12 most intense, 2θ = 15–90°, low angle first)
d = 3.354 Å, 26.57°, I 9, hkl 0 0 4; d = 2.687 Å, 33.35°, I 26, hkl 1 0 0; d = 2.635 Å, 34.03°, I 14, hkl 1 0 1; d = 2.303 Å, 39.11°, I 100, hkl 1 0 3; d = 2.236 Å, 40.33°, I 17, hkl 0 0 6; d = 2.097 Å, 43.14°, I 6, hkl 1 0 4; d = 1.719 Å, 53.30°, I 13, hkl 1 0 6; d = 1.560 Å, 59.21°, I 8, hkl 1 0 7; d = 1.551 Å, 59.59°, I 21, hkl 1 1 0; d = 1.304 Å, 72.51°, I 12, hkl 1 0 9; d = 1.287 Å, 73.62°, I 16, hkl 2 0 3; d = 1.275 Å, 74.43°, I 17, hkl 1 1 6

***

Entry 7:
Diffraction record for Li2ZnSiS4. The powder diffraction line list is calculated, not measured: it uses the GGA-PBE geometry in OQMD and Cu Kα (weighted mean of Kα1 and Kα2).
Intensities are scaled so that the largest is 100.

Atomic structure:
```
data_Li2ZnSiS4
_cell_length_a 12.920
_cell_length_b 7.790
_cell_length_c 6.178
_cell_angle_alpha 90.00
_cell_angle_beta 90.00
_cell_angle_gamma 90.00
_symmetry_space_group_name_H-M 'P n a 21'
_symmetry_Int_Tables_number 33
loop_
_symmetry_equiv_pos_as_xyz
'x,y,z'
'-x,-y,z+1/2'
'-x+1/2,y+1/2,z+1/2'
'x+1/2,-y+1/2,z'
loop_
_atom_site_label
_atom_site_fract_x
_atom_site_fract_y
_atom_site_fract_z
_atom_site_occupancy
Li1 0.078 0.240 0.000 1
Li2 0.161 0.994 0.493 1
Zn1 0.160 0.486 0.492 1
Si1 0.090 0.737 0.993 1
S1 0.067 0.244 0.605 1
S2 0.095 0.737 0.647 1
S3 0.163 0.510 0.111 1
S4 0.165 0.966 0.105 1
```

Peak list (12 most intense, 2θ = 15–90°, low angle first)
d = 4.841 Å, 18.33°, I 40, hkl 0 1 1; d = 4.533 Å, 19.58°, I 100, hkl 1 1 1; d = 3.769 Å, 23.61°, I 47, hkl 3 1 0; d = 3.335 Å, 26.73°, I 99, hkl 2 2 0; d = 3.230 Å, 27.62°, I 65, hkl 4 0 0; d = 3.089 Å, 28.90°, I 95, hkl 0 0 2; d = 2.935 Å, 30.46°, I 72, hkl 2 2 1; d = 2.266 Å, 39.77°, I 32, hkl 2 2 2; d = 1.947 Å, 46.64°, I 38, hkl 0 4 0; d = 1.884 Å, 48.30°, I 70, hkl 6 2 0; d = 1.752 Å, 52.20°, I 76, hkl 2 2 3; d = 1.609 Å, 57.26°, I 48, hkl 6 2 2

***

Entry 8:
Diffraction record for PrSiGe3Ir6. The powder diffraction line list is calculated, not measured: it uses the GGA-PBE geometry in OQMD and Cu Kα (weighted mean of Kα1 and Kα2).
Intensities are scaled so that the largest is 100.

Atomic structure:
```
data_PrSiGe3Ir6
_cell_length_a 7.1828
_cell_length_b 7.1828
_cell_length_c 3.9326
_cell_angle_alpha 90.00
_cell_angle_beta 90.00
_cell_angle_gamma 120.00
_symmetry_space_group_name_H-M 'P -6 m 2'
_symmetry_Int_Tables_number 187
_symmetry_space_group_name_Hall 'P -6 2'
loop_
_atom_site_label
_atom_site_fract_x
_atom_site_fract_y
_atom_site_fract_z
_atom_site_occupancy
Pr1 0.0000 0.0000 0.0000 1
Si1 0.3333 0.6667 0.0000 1
Ge1 0.3928 0.1964 0.5000 1
Ir1 0.2032 0.4065 0.5000 1
Ir2 0.5298 0.0596 0.0000 1
```

Peak list (12 most intense, 2θ = 15–90°, low angle first)
d = 3.324 Å, 26.82°, I 18, hkl 1 0 1; d = 3.110 Å, 28.70°, I 11, hkl 2 0 0; d = 2.439 Å, 36.84°, I 100, hkl 2 0 1; d = 2.351 Å, 38.28°, I 21, hkl 2 1 0; d = 2.073 Å, 43.65°, I 19, hkl 3 0 0; d = 2.018 Å, 44.92°, I 35, hkl 2 1 1; d = 1.966 Å, 46.17°, I 21, hkl 0 0 2; d = 1.796 Å, 50.85°, I 18, hkl 2 2 0; d = 1.427 Å, 65.41°, I 16, hkl 3 0 2; d = 1.341 Å, 70.15°, I 15, hkl 3 2 1; d = 1.326 Å, 71.10°, I 13, hkl 2 2 2; d = 1.186 Å, 81.07°, I 12, hkl 5 0 1

***

Entry 9:
Diffraction record for Y5Pt3. The powder diffraction line list is calculated, not measured: it uses the GGA-PBE geometry in OQMD and Cu Kα (weighted mean of Kα1 and Kα2).
Intensities are scaled so that the largest is 100.

Atomic structure:
```
data_Y5Pt3
_cell_length_a 8.4955
_cell_length_b 8.4955
_cell_length_c 6.1104
_cell_angle_alpha 90.00
_cell_angle_beta 90.00
_cell_angle_gamma 120.00
_symmetry_space_group_name_H-M 'P 63/m c m'
_symmetry_Int_Tables_number 193
_symmetry_space_group_name_Hall '-P 6c 2'
loop_
_atom_site_label
_atom_site_fract_x
_atom_site_fract_y
_atom_site_fract_z
_atom_site_occupancy
Y1 0.0000 0.2464 0.2500 1
Y2 0.3333 0.6667 0.0000 1
Pt1 0.0000 0.3945 0.7500 1
```

Peak list (12 most intense, 2θ = 15–90°, low angle first)
d = 3.488 Å, 25.54°, I 37, hkl 1 1 1; d = 3.055 Å, 29.23°, I 33, hkl 0 0 2; d = 2.781 Å, 32.19°, I 16, hkl 2 1 0; d = 2.531 Å, 35.47°, I 100, hkl 2 1 1; d = 2.480 Å, 36.22°, I 70, hkl 1 1 2; d = 2.452 Å, 36.64°, I 46, hkl 3 0 0; d = 2.350 Å, 38.30°, I 18, hkl 2 0 2; d = 1.935 Å, 46.95°, I 35, hkl 3 1 1; d = 1.643 Å, 55.96°, I 27, hkl 2 1 3; d = 1.471 Å, 63.21°, I 14, hkl 5 0 0; d = 1.442 Å, 64.66°, I 14, hkl 3 1 3; d = 1.326 Å, 71.11°, I 21, hkl 5 0 2

***

Entry 10:
Diffraction record for CuTeOs2. The powder diffraction line list is calculated, not measured: it uses the GGA-PBE geometry in OQMD and Cu Kα (weighted mean of Kα1 and Kα2).
Intensities are scaled so that the largest is 100.

Atomic structure:
```
data_CuTeOs2
_cell_length_a 6.336
_cell_length_b 6.336
_cell_length_c 6.336
_cell_angle_alpha 90.00
_cell_angle_beta 90.00
_cell_angle_gamma 90.00
_symmetry_space_group_name_H-M 'F -4 3 m'
_symmetry_Int_Tables_number 216
_symmetry_space_group_name_Hall 'F -4 2 3'
loop_
_atom_site_label
_atom_site_fract_x
_atom_site_fract_y
_atom_site_fract_z
_atom_site_occupancy
Cu1 0.000 0.000 0.000 1
Te1 0.250 0.250 0.750 1
Os1 0.000 0.000 0.500 1
Os2 0.250 0.250 0.250 1
```

Peak list (9 most intense, 2θ = 15–90°, low angle first)
d = 3.658 Å, 24.33°, I 13, hkl 1 1 1; d = 3.168 Å, 28.17°, I 1, hkl 2 0 0; d = 2.240 Å, 40.26°, I 100, hkl 2 2 0; d = 1.911 Å, 47.60°, I 7, hkl 3 1 1; d = 1.584 Å, 58.24°, I 17, hkl 4 0 0; d = 1.454 Å, 64.05°, I 3, hkl 3 3 1; d = 1.293 Å, 73.17°, I 34, hkl 4 2 2; d = 1.219 Å, 78.42°, I 2, hkl 5 1 1; d = 1.120 Å, 86.98°, I 11, hkl 4 4 0

***

Entry 11:
Diffraction record for SmGdZn4. The powder diffraction line list is calculated, not measured: it uses the GGA-PBE geometry in OQMD and Cu Kα (weighted mean of Kα1 and Kα2).
Intensities are scaled so that the largest is 100.

Atomic structure:
```
data_SmGdZn4
_cell_length_a 4.510
_cell_length_b 7.203
_cell_length_c 7.567
_cell_angle_alpha 90.00
_cell_angle_beta 90.00
_cell_angle_gamma 90.00
_symmetry_space_group_name_H-M 'I m m 2'
_symmetry_Int_Tables_number 44
loop_
_symmetry_equiv_pos_as_xyz
'x,y,z'
'-x,-y,z'
'-x,y,z'
'x,-y,z'
'x+1/2,y+1/2,z+1/2'
'-x+1/2,-y+1/2,z+1/2'
'-x+1/2,y+1/2,z+1/2'
'x+1/2,-y+1/2,z+1/2'
loop_
_atom_site_label
_atom_site_fract_x
_atom_site_fract_y
_atom_site_fract_z
_atom_site_occupancy
Sm1 0.000 0.000 0.000 1
Gd1 0.000 0.500 0.060 1
Zn1 0.000 0.204 0.366 1
Zn2 0.000 0.295 0.698 1
```

Peak list (12 most intense, 2θ = 15–90°, low angle first)
d = 3.874 Å, 22.96°, I 18, hkl 1 0 1; d = 2.689 Å, 33.32°, I 20, hkl 1 1 2; d = 2.638 Å, 33.99°, I 100, hkl 1 2 1; d = 2.609 Å, 34.38°, I 44, hkl 0 2 2; d = 2.289 Å, 39.37°, I 11, hkl 0 3 1; d = 2.255 Å, 39.98°, I 31, hkl 2 0 0; d = 2.202 Å, 41.00°, I 50, hkl 1 0 3; d = 1.706 Å, 53.73°, I 24, hkl 2 2 2; d = 1.411 Å, 66.22°, I 12, hkl 1 3 4; d = 1.394 Å, 67.16°, I 11, hkl 1 4 3; d = 1.365 Å, 68.80°, I 13, hkl 3 2 1; d = 1.291 Å, 73.34°, I 16, hkl 3 0 3

***

Entry 12:
Diffraction record for Rb2HfOsSe6. The powder diffraction line list is calculated, not measured: it uses the GGA-PBE geometry in OQMD and Cu Kα (weighted mean of Kα1 and Kα2).
Intensities are scaled so that the largest is 100.

Atomic structure:
```
data_Rb2HfOsSe6
_cell_length_a 6.8841
_cell_length_b 6.8841
_cell_length_c 14.8298
_cell_angle_alpha 90.00
_cell_angle_beta 90.00
_cell_angle_gamma 120.00
_symmetry_space_group_name_H-M 'P -3 1 c'
_symmetry_Int_Tables_number 163
_symmetry_space_group_name_Hall '-P 3 2c'
loop_
_atom_site_label
_atom_site_fract_x
_atom_site_fract_y
_atom_site_fract_z
_atom_site_occupancy
Rb1 0.3333 0.6667 0.0727 1
Hf1 0.3333 0.6667 0.7500 1
Os1 0.0000 0.0000 0.2500 1
Se1 0.1432 0.3170 0.8611 1
```

Peak list (12 most intense, 2θ = 15–90°, low angle first)
d = 5.532 Å, 16.02°, I 87, hkl 1 0 1; d = 4.646 Å, 19.10°, I 53, hkl 1 0 2; d = 3.805 Å, 23.38°, I 65, hkl 1 0 3; d = 3.442 Å, 25.88°, I 62, hkl 1 1 0; d = 3.122 Å, 28.59°, I 38, hkl 2 -1 2; d = 2.553 Å, 35.16°, I 100, hkl 2 0 3; d = 2.523 Å, 35.59°, I 84, hkl 2 -1 4; d = 2.323 Å, 38.76°, I 35, hkl 2 0 4; d = 2.103 Å, 43.02°, I 40, hkl 2 0 5; d = 2.008 Å, 45.16°, I 71, hkl 1 1 6; d = 1.721 Å, 53.22°, I 58, hkl 2 2 0; d = 1.549 Å, 59.70°, I 31, hkl 3 0 6

***

Entry 13:
Diffraction record for FeTe3PbAu. The powder diffraction line list is calculated, not measured: it uses the GGA-PBE geometry in OQMD and Cu Kα (weighted mean of Kα1 and Kα2).
Intensities are scaled so that the largest is 100.

Atomic structure:
```
data_FeTe3PbAu
_cell_length_a 11.470
_cell_length_b 3.183
_cell_length_c 9.311
_cell_angle_alpha 90.00
_cell_angle_beta 90.00
_cell_angle_gamma 90.00
_symmetry_space_group_name_H-M 'P m m a'
_symmetry_Int_Tables_number 51
loop_
_symmetry_equiv_pos_as_xyz
'x,y,z'
'-x,-y,-z'
'-x+1/2,-y,z'
'x+1/2,y,-z'
'x+1/2,-y,-z'
'-x+1/2,y,z'
'-x,y,-z'
'x,-y,z'
loop_
_atom_site_label
_atom_site_fract_x
_atom_site_fract_y
_atom_site_fract_z
_atom_site_occupancy
Fe1 0.000 0.000 0.000 1
Te1 0.015 0.000 0.277 1
Te2 0.250 0.000 0.973 1
Pb1 0.250 0.000 0.613 1
Au1 0.250 0.000 0.300 1
```

Peak list (12 most intense, 2θ = 15–90°, low angle first)
d = 5.735 Å, 15.45°, I 26, hkl 2 0 0; d = 3.183 Å, 28.04°, I 100, hkl 0 1 0; d = 3.104 Å, 28.77°, I 42, hkl 0 0 3; d = 2.996 Å, 29.82°, I 33, hkl 1 0 3; d = 2.867 Å, 31.19°, I 73, hkl 4 0 0; d = 2.222 Å, 40.60°, I 33, hkl 0 1 3; d = 2.181 Å, 41.39°, I 28, hkl 1 1 3; d = 2.130 Å, 42.43°, I 63, hkl 4 1 0; d = 2.106 Å, 42.94°, I 28, hkl 4 0 3; d = 1.756 Å, 52.07°, I 31, hkl 4 1 3; d = 1.596 Å, 57.77°, I 15, hkl 5 1 3; d = 1.391 Å, 67.29°, I 16, hkl 4 2 0